This entry pairs a crystal structure of Ba3Ni2O6 with its theoretical XRD peak list. Radiation: Cu Ka. Structure: a GGA+U-relaxed structure.
Lines closer than 0.1° are merged.

Principal peaks in the range 10° ≤ 2θ ≤ 90°, by intensity:
- 2θ = 30.27°, rel. 100.0
- 2θ = 31.62°, rel. 53.9
- 2θ = 55.48°, rel. 35.9
- 2θ = 45.32°, rel. 30.8
- 2θ = 40.35°, rel. 26.6
- 2θ = 22.59°, rel. 16.0
- 2θ = 52.92°, rel. 12.1
- 2θ = 62.97°, rel. 10.5
- 2θ = 41.29°, rel. 10.0
- 2θ = 51.32°, rel. 9.9

Cell and atoms:
a = 11.2922 Å, b = 11.2922 Å, c = 11.2922 Å
α = 159.59°, β = 159.59°, γ = 29.03°
Sites, in units of the cell vectors:
Ba1 0.0000 0.0000 0.0000
Ba2 0.1814 0.1814 0.0000
Ba3 0.8186 0.8186 0.0000
Ni1 0.3959 0.3959 0.0000
Ni2 0.6041 0.6041 0.0000
O1 0.0873 0.5873 0.5000
O2 0.3059 0.3059 0.0000
O3 0.4127 0.9127 0.5000
O4 0.5873 0.0873 0.5000
O5 0.6941 0.6941 0.0000
O6 0.9127 0.4127 0.5000